[1]
For Ca2HoInCl8, a crystal structure in Alexandria, relaxed with PBE gives the calculated powder X-ray diffraction pattern in this record (Cu Kα X-rays).
No peak broadening, texture or thermal motion is included.

Main lines, by angle (2θ = 10–80°):
d (Å)  I_rel
6.631  439
4.617  1000
4.584  893
3.597  724
3.157  940
2.405  573
2.396  528
1.970  608

Crystal structure
a = 6.388 Å, b = 8.707 Å, c = 6.631 Å
α = 90.00°, β = 90.42°, γ = 90.00°
Fractional coordinates of all 12 atoms:
Ca 0.000 0.247 0.000
Ca 0.000 0.753 0.000
Ho 0.500 0.500 0.500
In 0.500 0.000 0.500
Cl 0.218 0.000 0.864
Cl 0.231 0.500 0.817
Cl 0.270 0.288 0.325
Cl 0.270 0.712 0.325
Cl 0.730 0.288 0.675
Cl 0.730 0.712 0.675
Cl 0.769 0.500 0.183
Cl 0.782 0.000 0.136



[2]
For Ac4Te6O19, a crystal structure in Alexandria, relaxed with PBE gives the calculated powder X-ray diffraction pattern in this record (Cu Kα X-rays).
No peak broadening, texture or thermal motion is included.

Main lines, by angle (2θ = 10–80°):
d (Å)  I_rel
4.023  883
3.117  1000
2.845  313
2.634  472
2.323  266
1.933  588
1.799  329
1.643  252

Crystal structure
a = 8.535 Å, b = 8.535 Å, c = 8.535 Å
α = 109.47°, β = 109.47°, γ = 109.47°
Fractional coordinates of all 29 atoms:
Ac 0.000 0.000 0.290
Ac 0.000 0.290 0.000
Ac 0.290 0.000 0.000
Ac 0.710 0.710 0.710
Te 0.155 0.500 0.655
Te 0.345 0.845 0.500
Te 0.500 0.345 0.845
Te 0.500 0.655 0.155
Te 0.655 0.155 0.500
Te 0.845 0.500 0.345
O 0.000 0.000 0.000
O 0.000 0.307 0.307
O 0.000 0.693 0.693
O 0.060 0.716 0.345
O 0.284 0.344 0.629
O 0.285 0.656 0.940
O 0.307 0.000 0.307
O 0.307 0.307 0.000
O 0.344 0.629 0.284
O 0.345 0.060 0.716
O 0.371 0.715 0.655
O 0.629 0.284 0.344
O 0.655 0.371 0.715
O 0.656 0.940 0.285
O 0.693 0.000 0.693
O 0.693 0.693 0.000
O 0.715 0.655 0.371
O 0.716 0.345 0.060
O 0.940 0.285 0.656



[3]
For K3Mn2H7, a crystal structure in Alexandria, relaxed with PBE gives the calculated powder X-ray diffraction pattern in this record (Cu Kα X-rays).
No peak broadening, texture or thermal motion is included.

Main lines, by angle (2θ = 10–80°):
d (Å)  I_rel
2.838  1000
2.708  515
2.371  124
2.114  69
1.915  182
1.666  114
1.587  297
1.476  65

Crystal structure
a = 10.909 Å, b = 10.909 Å, c = 10.909 Å
α = 159.78°, β = 159.78°, γ = 28.75°
Fractional coordinates of all 12 atoms:
K 0.000 0.000 0.000
K 0.183 0.183 0.000
K 0.817 0.817 0.000
Mn 0.410 0.410 0.000
Mn 0.590 0.590 0.000
H 0.090 0.590 0.500
H 0.323 0.323 0.000
H 0.410 0.910 0.500
H 0.500 0.500 0.000
H 0.590 0.090 0.500
H 0.677 0.677 0.000
H 0.910 0.410 0.500



[4]
For AcDy5YHo2, a crystal structure in Alexandria, relaxed with PBE gives the calculated powder X-ray diffraction pattern in this record (Cu Kα X-rays).
No peak broadening, texture or thermal motion is included.

Main lines, by angle (2θ = 10–80°):
d (Å)  I_rel
3.132  165
3.050  380
2.812  381
2.781  1000
2.771  159
1.974  121
1.618  218
1.536  122

Crystal structure
a = 10.190 Å, b = 10.190 Å, c = 11.082 Å
α = 90.00°, β = 90.00°, γ = 147.96°
Fractional coordinates of all 18 atoms:
Ac 0.211 0.789 0.500
Ac 0.789 0.211 0.000
Dy 0.019 0.981 0.533
Dy 0.288 0.712 0.792
Dy 0.298 0.702 0.202
Dy 0.401 0.599 0.524
Dy 0.477 0.523 0.237
Dy 0.523 0.477 0.737
Dy 0.599 0.401 0.024
Dy 0.702 0.298 0.702
Dy 0.712 0.288 0.292
Dy 0.981 0.019 0.033
Y 0.416 0.584 0.959
Y 0.584 0.416 0.459
Ho 0.102 0.898 0.242
Ho 0.115 0.885 0.817
Ho 0.885 0.115 0.317
Ho 0.898 0.102 0.742